# 1
Calculated X-ray diffraction stick pattern of Nd4Er5 for copper Kα, from a structure optimized by DFT (PBE).
No peak broadening, texture or thermal motion is included.

Most intense lines, 2θ from 5° to 70°, in order of falling intensity:
2θ/deg, intensity
30.6, 100
35.4, 34
60.5, 29
51.0, 24
35.6, 17
60.8, 14
63.6, 12
50.9, 12

Cell and atoms:
```
data_Nd4Er5
_space_group_name_H-M_alt 'P 1'
_space_group_IT_number 1
_cell_length_a 8.0204
_cell_length_b 8.0204
_cell_length_c 8.0204
_cell_angle_alpha 95.68
_cell_angle_beta 95.68
_cell_angle_gamma 143.31
loop_
_space_group_symop_operation_xyz
'x,y,z'
loop_
_atom_site_label
_atom_site_type_symbol
_atom_site_fract_x
_atom_site_fract_y
_atom_site_fract_z
Nd1 Nd 0.1665 0.1665 0.3331
Nd2 Nd 0.1665 0.8335 0.0000
Nd3 Nd 0.8335 0.1665 0.0000
Nd4 Nd 0.8335 0.8335 0.6669
Er1 Er 0.1648 0.5000 0.6648
Er2 Er 0.5000 0.1648 0.6648
Er3 Er 0.5000 0.5000 0.0000
Er4 Er 0.5000 0.8352 0.3352
Er5 Er 0.8352 0.5000 0.3352
```

---

# 2
Calculated X-ray diffraction stick pattern of SrCeGe4 for copper Kα, from a structure optimized by DFT (PBE).
No peak broadening, texture or thermal motion is included.

Most intense lines, 2θ from 5° to 70°, in order of falling intensity:
2θ/deg, intensity
34.3, 100
31.1, 95
30.8, 62
41.0, 48
28.5, 28
40.3, 26
12.4, 23
15.1, 21

Cell and atoms:
```
data_SrCeGe4
_space_group_name_H-M_alt 'P 1'
_space_group_IT_number 1
_cell_length_a 7.7554
_cell_length_b 17.8258
_cell_length_c 4.4058
_cell_angle_alpha 90.00
_cell_angle_beta 90.00
_cell_angle_gamma 90.00
loop_
_space_group_symop_operation_xyz
'x,y,z'
loop_
_atom_site_label
_atom_site_type_symbol
_atom_site_fract_x
_atom_site_fract_y
_atom_site_fract_z
Sr1 Sr 0.1304 0.1683 0.0000
Sr2 Sr 0.3696 0.6683 0.0000
Sr3 Sr 0.6304 0.3317 0.0000
Sr4 Sr 0.8696 0.8317 0.0000
Ce1 Ce 0.1320 0.4131 0.0000
Ce2 Ce 0.3680 0.9131 0.0000
Ce3 Ce 0.6320 0.0869 0.0000
Ce4 Ce 0.8680 0.5869 0.0000
Ge1 Ge 0.0359 0.6838 0.5000
Ge2 Ge 0.0948 0.9376 0.5000
Ge3 Ge 0.1480 0.5378 0.5000
Ge4 Ge 0.2113 0.8040 0.5000
Ge5 Ge 0.2887 0.3040 0.5000
Ge6 Ge 0.3520 0.0378 0.5000
Ge7 Ge 0.4052 0.4376 0.5000
Ge8 Ge 0.4641 0.1838 0.5000
Ge9 Ge 0.5359 0.8162 0.5000
Ge10 Ge 0.5948 0.5624 0.5000
Ge11 Ge 0.6480 0.9622 0.5000
Ge12 Ge 0.7113 0.6960 0.5000
Ge13 Ge 0.7887 0.1960 0.5000
Ge14 Ge 0.8520 0.4622 0.5000
Ge15 Ge 0.9052 0.0624 0.5000
Ge16 Ge 0.9641 0.3162 0.5000
```

---

# 3
Calculated X-ray diffraction stick pattern of LaSc3 for copper Kα, from a structure optimized by DFT (PBE).
No peak broadening, texture or thermal motion is included.

Most intense lines, 2θ from 5° to 70°, in order of falling intensity:
2θ/deg, intensity
34.3, 100
34.8, 43
33.2, 42
20.9, 25
19.8, 22
30.0, 21
64.7, 18
60.0, 18

Cell and atoms:
```
data_LaSc3
_space_group_name_H-M_alt 'P 1'
_space_group_IT_number 1
_cell_length_a 5.4047
_cell_length_b 6.9233
_cell_length_c 5.8708
_cell_angle_alpha 90.00
_cell_angle_beta 90.00
_cell_angle_gamma 90.00
loop_
_space_group_symop_operation_xyz
'x,y,z'
loop_
_atom_site_label
_atom_site_type_symbol
_atom_site_fract_x
_atom_site_fract_y
_atom_site_fract_z
La1 La 0.2500 0.2500 0.1726
La2 La 0.7500 0.7500 0.8274
Sc1 Sc 0.2500 0.5007 0.6649
Sc2 Sc 0.2500 0.7500 0.1800
Sc3 Sc 0.2500 0.9993 0.6649
Sc4 Sc 0.7500 0.0007 0.3351
Sc5 Sc 0.7500 0.2500 0.8200
Sc6 Sc 0.7500 0.4993 0.3351
```

---

# 4
Calculated X-ray diffraction stick pattern of Dy11Ge10 for copper Kα, from a structure optimized by DFT (PBE).
No peak broadening, texture or thermal motion is included.

Most intense lines, 2θ from 5° to 70°, in order of falling intensity:
2θ/deg, intensity
32.8, 100
33.8, 95
34.8, 43
34.6, 40
36.8, 31
50.1, 23
36.6, 18
53.0, 17

Cell and atoms:
```
data_Dy11Ge10
_space_group_name_H-M_alt 'P 1'
_space_group_IT_number 1
_cell_length_a 11.2877
_cell_length_b 11.2877
_cell_length_c 11.2877
_cell_angle_alpha 122.12
_cell_angle_beta 122.12
_cell_angle_gamma 86.36
loop_
_space_group_symop_operation_xyz
'x,y,z'
loop_
_atom_site_label
_atom_site_type_symbol
_atom_site_fract_x
_atom_site_fract_y
_atom_site_fract_z
Dy1 Dy 0.0577 0.3098 0.7479
Dy2 Dy 0.1023 0.4261 0.3239
Dy3 Dy 0.1023 0.7784 0.6761
Dy4 Dy 0.1605 0.1605 0.0000
Dy5 Dy 0.2216 0.8977 0.3239
Dy6 Dy 0.3098 0.0577 0.7479
Dy7 Dy 0.3098 0.5620 0.2521
Dy8 Dy 0.3233 0.3233 0.6465
Dy9 Dy 0.3233 0.6767 0.0000
Dy10 Dy 0.4261 0.1023 0.3239
Dy11 Dy 0.4380 0.6902 0.7479
Dy12 Dy 0.5620 0.3098 0.2521
Dy13 Dy 0.5739 0.8977 0.6761
Dy14 Dy 0.6767 0.3233 0.0000
Dy15 Dy 0.6767 0.6767 0.3535
Dy16 Dy 0.6902 0.4380 0.7479
Dy17 Dy 0.6902 0.9423 0.2521
Dy18 Dy 0.7784 0.1023 0.6761
Dy19 Dy 0.8395 0.8395 0.0000
Dy20 Dy 0.8977 0.2216 0.3239
Dy21 Dy 0.8977 0.5739 0.6761
Dy22 Dy 0.9423 0.6902 0.2521
Ge1 Ge 0.0276 0.0276 0.4186
Ge2 Ge 0.0276 0.6091 0.0000
Ge3 Ge 0.1201 0.1201 0.2401
Ge4 Ge 0.1201 0.8799 0.0000
Ge5 Ge 0.1394 0.5000 0.6394
Ge6 Ge 0.2500 0.7500 0.5000
Ge7 Ge 0.3883 0.3883 0.0000
Ge8 Ge 0.3909 0.3909 0.4186
Ge9 Ge 0.3909 0.9724 0.0000
Ge10 Ge 0.5000 0.1394 0.6394
Ge11 Ge 0.5000 0.8606 0.3606
Ge12 Ge 0.6091 0.0276 0.0000
Ge13 Ge 0.6091 0.6091 0.5814
Ge14 Ge 0.6117 0.6117 0.0000
Ge15 Ge 0.7500 0.2500 0.5000
Ge16 Ge 0.8606 0.5000 0.3606
Ge17 Ge 0.8799 0.1201 0.0000
Ge18 Ge 0.8799 0.8799 0.7599
Ge19 Ge 0.9724 0.3909 0.0000
Ge20 Ge 0.9724 0.9724 0.5814
```

---

# 5
Calculated X-ray diffraction stick pattern of SbRh5Se8 for copper Kα, from a structure optimized by DFT (PBE).
No peak broadening, texture or thermal motion is included.

Most intense lines, 2θ from 5° to 70°, in order of falling intensity:
2θ/deg, intensity
31.4, 100
50.4, 70
40.7, 64
49.4, 60
32.4, 51
10.5, 42
33.6, 37
45.7, 37

Cell and atoms:
```
data_SbRh5Se8
_space_group_name_H-M_alt 'P 1'
_space_group_IT_number 1
_cell_length_a 9.5337
_cell_length_b 9.5337
_cell_length_c 8.5935
_cell_angle_alpha 102.10
_cell_angle_beta 102.10
_cell_angle_gamma 22.31
loop_
_space_group_symop_operation_xyz
'x,y,z'
loop_
_atom_site_label
_atom_site_type_symbol
_atom_site_fract_x
_atom_site_fract_y
_atom_site_fract_z
Sb1 Sb 0.0000 0.0000 0.0000
Rh1 Rh 0.1466 0.1466 0.4308
Rh2 Rh 0.1865 0.1865 0.7733
Rh3 Rh 0.4802 0.4802 0.4388
Rh4 Rh 0.7851 0.7851 0.1264
Rh5 Rh 0.8311 0.8311 0.4780
Se1 Se 0.0517 0.0517 0.6017
Se2 Se 0.2516 0.2516 0.2965
Se3 Se 0.3099 0.3099 0.9495
Se4 Se 0.3978 0.3978 0.6302
Se5 Se 0.5744 0.5744 0.2690
Se6 Se 0.6581 0.6581 0.9469
Se7 Se 0.7228 0.7228 0.5998
Se8 Se 0.9197 0.9197 0.2570
```

---

# 6
Calculated X-ray diffraction stick pattern of Y3Er3ScTe8 for copper Kα, from a structure optimized by DFT (PBE).
No peak broadening, texture or thermal motion is included.

Most intense lines, 2θ from 5° to 70°, in order of falling intensity:
2θ/deg, intensity
29.3, 100
41.8, 75
68.8, 34
51.9, 27
60.7, 12
14.5, 7
20.6, 6
12.5, 6

Cell and atoms:
```
data_Y3Er3ScTe8
_space_group_name_H-M_alt 'P 1'
_space_group_IT_number 1
_cell_length_a 8.6382
_cell_length_b 8.6382
_cell_length_c 8.6382
_cell_angle_alpha 59.95
_cell_angle_beta 59.95
_cell_angle_gamma 59.95
loop_
_space_group_symop_operation_xyz
'x,y,z'
loop_
_atom_site_label
_atom_site_type_symbol
_atom_site_fract_x
_atom_site_fract_y
_atom_site_fract_z
Y1 Y 0.0000 0.5000 0.5000
Y2 Y 0.5000 0.0000 0.5000
Y3 Y 0.5000 0.5000 0.0000
Er1 Er 0.0000 0.0000 0.5000
Er2 Er 0.0000 0.5000 0.0000
Er3 Er 0.5000 0.0000 0.0000
Sc1 Sc 0.5000 0.5000 0.5000
Te1 Te 0.2488 0.2488 0.2488
Te2 Te 0.2489 0.7486 0.7486
Te3 Te 0.2514 0.2514 0.7511
Te4 Te 0.2514 0.7511 0.2514
Te5 Te 0.7486 0.2489 0.7486
Te6 Te 0.7486 0.7486 0.2489
Te7 Te 0.7511 0.2514 0.2514
Te8 Te 0.7512 0.7512 0.7512
```

---

# 7
Calculated X-ray diffraction stick pattern of TlOsSe2O8 for copper Kα, from a structure optimized by DFT (PBE).
No peak broadening, texture or thermal motion is included.

Most intense lines, 2θ from 5° to 70°, in order of falling intensity:
2θ/deg, intensity
17.9, 100
27.6, 90
29.9, 83
18.7, 68
31.8, 67
33.2, 36
25.7, 33
42.5, 27

Cell and atoms:
```
data_TlOsSe2O8
_space_group_name_H-M_alt 'P 1'
_space_group_IT_number 1
_cell_length_a 5.7049
_cell_length_b 5.7049
_cell_length_c 8.3449
_cell_angle_alpha 98.60
_cell_angle_beta 98.60
_cell_angle_gamma 56.38
loop_
_space_group_symop_operation_xyz
'x,y,z'
loop_
_atom_site_label
_atom_site_type_symbol
_atom_site_fract_x
_atom_site_fract_y
_atom_site_fract_z
Tl1 Tl 0.0000 0.0000 0.0000
Os1 Os 0.0000 0.0000 0.5000
Se1 Se 0.3768 0.3768 0.2917
Se2 Se 0.6232 0.6232 0.7083
O1 O 0.1783 0.1783 0.5367
O2 O 0.2529 0.7409 0.6729
O3 O 0.2591 0.7471 0.3271
O4 O 0.3410 0.3410 0.0913
O5 O 0.6590 0.6590 0.9087
O6 O 0.7409 0.2529 0.6729
O7 O 0.7471 0.2591 0.3271
O8 O 0.8217 0.8217 0.4633
```

---

# 8
Calculated X-ray diffraction stick pattern of Na2IrBr4 for copper Kα, from a structure optimized by DFT (PBE).
No peak broadening, texture or thermal motion is included.

Most intense lines, 2θ from 5° to 70°, in order of falling intensity:
2θ/deg, intensity
16.5, 100
22.4, 61
34.9, 56
41.9, 46
28.4, 35
29.7, 30
58.8, 24
46.5, 21

Cell and atoms:
```
data_Na2IrBr4
_space_group_name_H-M_alt 'P 1'
_space_group_IT_number 1
_cell_length_a 6.4927
_cell_length_b 6.4927
_cell_length_c 6.4927
_cell_angle_alpha 111.88
_cell_angle_beta 111.88
_cell_angle_gamma 104.75
loop_
_space_group_symop_operation_xyz
'x,y,z'
loop_
_atom_site_label
_atom_site_type_symbol
_atom_site_fract_x
_atom_site_fract_y
_atom_site_fract_z
Na1 Na 0.2500 0.7500 0.5000
Na2 Na 0.7500 0.2500 0.5000
Ir1 Ir 0.0000 0.0000 0.0000
Br1 Br 0.2371 0.7602 0.0000
Br2 Br 0.2398 0.2398 0.4769
Br3 Br 0.7602 0.2371 0.0000
Br4 Br 0.7629 0.7629 0.5231
```

---

# 9
Calculated X-ray diffraction stick pattern of Sm4Ge3Au for copper Kα, from a structure optimized by DFT (PBE).
No peak broadening, texture or thermal motion is included.

Most intense lines, 2θ from 5° to 70°, in order of falling intensity:
2θ/deg, intensity
30.9, 100
38.6, 64
32.1, 30
31.8, 29
42.0, 25
43.3, 23
38.9, 19
62.0, 16

Cell and atoms:
```
data_Sm4Ge3Au
_space_group_name_H-M_alt 'P 1'
_space_group_IT_number 1
_cell_length_a 4.1760
_cell_length_b 4.2986
_cell_length_c 11.1464
_cell_angle_alpha 90.00
_cell_angle_beta 90.00
_cell_angle_gamma 90.00
loop_
_space_group_symop_operation_xyz
'x,y,z'
loop_
_atom_site_label
_atom_site_type_symbol
_atom_site_fract_x
_atom_site_fract_y
_atom_site_fract_z
Sm1 Sm 0.0000 0.0000 0.0000
Sm2 Sm 0.0000 0.5000 0.4958
Sm3 Sm 0.5000 0.0000 0.7207
Sm4 Sm 0.5000 0.5000 0.2227
Ge1 Ge 0.0000 0.0000 0.2743
Ge2 Ge 0.5000 0.0000 0.4422
Ge3 Ge 0.5000 0.5000 0.9459
Au1 Au 0.0000 0.5000 0.7798
```

---

# 10
Calculated X-ray diffraction stick pattern of AgB for copper Kα, from a structure optimized by DFT (PBE).
No peak broadening, texture or thermal motion is included.

Most intense lines, 2θ from 5° to 70°, in order of falling intensity:
2θ/deg, intensity
32.4, 100
28.6, 64
41.7, 51
41.9, 50
29.7, 49
45.5, 40
54.5, 18
20.5, 12

Cell and atoms:
```
data_AgB
_space_group_name_H-M_alt 'P 1'
_space_group_IT_number 1
_cell_length_a 4.5197
_cell_length_b 4.5197
_cell_length_c 3.1274
_cell_angle_alpha 106.57
_cell_angle_beta 106.57
_cell_angle_gamma 83.28
loop_
_space_group_symop_operation_xyz
'x,y,z'
loop_
_atom_site_label
_atom_site_type_symbol
_atom_site_fract_x
_atom_site_fract_y
_atom_site_fract_z
Ag1 Ag 0.2204 0.7796 0.5000
Ag2 Ag 0.7796 0.2204 0.0000
B1 B 0.2535 0.3137 0.8364
B2 B 0.3137 0.2535 0.3364
```

---

# 11
Calculated X-ray diffraction stick pattern of Nd2Zn5CdRu2 for copper Kα, from a structure optimized by DFT (PBE).
No peak broadening, texture or thermal motion is included.

Most intense lines, 2θ from 5° to 70°, in order of falling intensity:
2θ/deg, intensity
36.5, 100
40.0, 45
38.1, 45
34.1, 36
44.3, 34
59.9, 29
62.3, 16
29.0, 14

Cell and atoms:
```
data_Nd2Zn5CdRu2
_space_group_name_H-M_alt 'P 1'
_space_group_IT_number 1
_cell_length_a 9.7351
_cell_length_b 9.7351
_cell_length_c 4.0851
_cell_angle_alpha 90.00
_cell_angle_beta 90.00
_cell_angle_gamma 90.00
loop_
_space_group_symop_operation_xyz
'x,y,z'
loop_
_atom_site_label
_atom_site_type_symbol
_atom_site_fract_x
_atom_site_fract_y
_atom_site_fract_z
Nd1 Nd 0.1811 0.3189 0.0000
Nd2 Nd 0.3189 0.8189 0.0000
Nd3 Nd 0.6811 0.1811 0.0000
Nd4 Nd 0.8189 0.6811 0.0000
Zn1 Zn 0.0000 0.5000 0.5000
Zn2 Zn 0.0589 0.7855 0.5000
Zn3 Zn 0.2145 0.0589 0.5000
Zn4 Zn 0.2855 0.5589 0.5000
Zn5 Zn 0.4411 0.2855 0.5000
Zn6 Zn 0.5000 0.0000 0.5000
Zn7 Zn 0.5589 0.7145 0.5000
Zn8 Zn 0.7145 0.4411 0.5000
Zn9 Zn 0.7855 0.9411 0.5000
Zn10 Zn 0.9411 0.2145 0.5000
Cd1 Cd 0.0000 0.0000 0.0000
Cd2 Cd 0.5000 0.5000 0.0000
Ru1 Ru 0.1176 0.6176 0.0000
Ru2 Ru 0.3824 0.1176 0.0000
Ru3 Ru 0.6176 0.8824 0.0000
Ru4 Ru 0.8824 0.3824 0.0000
```

---

# 12
Calculated X-ray diffraction stick pattern of K3Pm2UO6 for copper Kα, from a structure optimized by DFT (PBE).
No peak broadening, texture or thermal motion is included.

Most intense lines, 2θ from 5° to 70°, in order of falling intensity:
2θ/deg, intensity
14.0, 100
34.4, 99
30.2, 78
29.0, 42
28.3, 34
48.3, 33
50.7, 33
59.1, 27

Cell and atoms:
```
data_K3Pm2UO6
_space_group_name_H-M_alt 'P 1'
_space_group_IT_number 1
_cell_length_a 6.2345
_cell_length_b 6.2345
_cell_length_c 6.6520
_cell_angle_alpha 99.02
_cell_angle_beta 99.02
_cell_angle_gamma 119.99
loop_
_space_group_symop_operation_xyz
'x,y,z'
loop_
_atom_site_label
_atom_site_type_symbol
_atom_site_fract_x
_atom_site_fract_y
_atom_site_fract_z
K1 K 0.0000 0.0000 0.0000
K2 K 0.3322 0.6678 0.0000
K3 K 0.6678 0.3322 0.0000
Pm1 Pm 0.1665 0.8335 0.5000
Pm2 Pm 0.8335 0.1665 0.5000
U1 U 0.5000 0.5000 0.5000
O1 O 0.1200 0.4376 0.3139
O2 O 0.2443 0.2443 0.6864
O3 O 0.4376 0.1200 0.3139
O4 O 0.5624 0.8800 0.6861
O5 O 0.7557 0.7557 0.3136
O6 O 0.8800 0.5624 0.6861
```